Computed X-ray diffraction stick pattern of LaBSe4 for Cu Kα X-rays, from a cell relaxed with GGA-PBE.
Neutral-atom scattering factors, no anomalous dispersion.

Structure:
```
data_LaBSe4
_chemical_formula_sum 'La4 B4 Se16'
_symmetry_space_group_name_H-M 'I 41/a m d'
_symmetry_Int_Tables_number 141
_cell_length_a 9.3384
_cell_length_b 9.3384
_cell_length_c 7.3893
_cell_angle_alpha 90.00
_cell_angle_beta 90.00
_cell_angle_gamma 90.00
loop_
_symmetry_equiv_pos_as_xyz
'x,y,z'
'-x,-y,-z'
'-y+1/4,x+3/4,z+1/4'
'y+1/4,-x+3/4,-z+1/4'
'-x+1/2,-y,z+1/2'
'x+1/2,y,-z+1/2'
'y+1/4,-x+1/4,z+3/4'
'-y+1/4,x+1/4,-z+3/4'
'x,-y,-z'
'-x,y,z'
'-y+1/4,-x+1/4,-z+3/4'
'y+1/4,x+1/4,z+3/4'
'-x+1/2,y,-z+1/2'
'x+1/2,-y,z+1/2'
'y+1/4,x+3/4,-z+1/4'
'-y+1/4,-x+3/4,z+1/4'
'x+1/2,y+1/2,z+1/2'
'-x+1/2,-y+1/2,-z+1/2'
'-y+3/4,x+1/4,z+3/4'
'y+3/4,-x+1/4,-z+3/4'
'-x,-y+1/2,z'
'x,y+1/2,-z'
'y+3/4,-x+3/4,z+1/4'
'-y+3/4,x+3/4,-z+1/4'
'x+1/2,-y+1/2,-z+1/2'
'-x+1/2,y+1/2,z+1/2'
'-y+3/4,-x+3/4,-z+1/4'
'y+3/4,x+3/4,z+1/4'
'-x,y+1/2,-z'
'x,-y+1/2,z'
'y+3/4,x+1/4,-z+3/4'
'-y+3/4,-x+1/4,z+3/4'
loop_
_atom_site_label
_atom_site_fract_x
_atom_site_fract_y
_atom_site_fract_z
_atom_site_occupancy
La1 0.0000 0.2500 0.3750 1
B1 0.0000 0.2500 0.8750 1
Se1 0.0000 0.0693 0.7182 1
```

Top 10 peaks for 10 to 90 degrees two-theta, most intense first:
- 2θ = 31.18°, rel. 100, hkl 3 0 1
- 2θ = 19.01°, rel. 95, hkl 2 0 0
- 2θ = 36.77°, rel. 84, hkl 3 2 1
- 2θ = 30.86°, rel. 81, hkl 2 0 2
- 2θ = 39.05°, rel. 46, hkl 3 1 2
- 2θ = 37.77°, rel. 44, hkl 1 0 3
- 2θ = 50.40°, rel. 39, hkl 4 3 1
- 2θ = 38.56°, rel. 29, hkl 4 0 0
- 2θ = 48.12°, rel. 27, hkl 3 3 2
- 2θ = 15.29°, rel. 22, hkl 1 0 1

=====

Computed X-ray diffraction stick pattern of CrCo4 for Cu Kα X-rays, from a cell relaxed with GGA-PBE.
Neutral-atom scattering factors, no anomalous dispersion.

Structure:
```
data_CrCo4
_chemical_formula_sum 'Cr2 Co8'
_symmetry_space_group_name_H-M 'I 4/m'
_symmetry_Int_Tables_number 87
_symmetry_space_group_name_Hall '-I 4'
_cell_length_a 5.5880
_cell_length_b 5.5880
_cell_length_c 3.4837
_cell_angle_alpha 90.00
_cell_angle_beta 90.00
_cell_angle_gamma 90.00
loop_
_atom_site_label
_atom_site_fract_x
_atom_site_fract_y
_atom_site_fract_z
_atom_site_occupancy
Cr1 0.0000 0.0000 0.0000 1
Co1 0.0998 0.3006 0.5000 1
```

Top 5 peaks for 10 to 90 degrees two-theta, most intense first:
- 2θ = 44.62°, rel. 100, hkl 2 1 1
- 2θ = 51.73°, rel. 31, hkl 1 3 0
- 2θ = 76.85°, rel. 17, hkl 1 3 2
- 2θ = 52.54°, rel. 15, hkl 0 0 2
- 2θ = 76.19°, rel. 9, hkl 4 2 0